For Sc6P2N, DFT lattice parameters and positions (GGA-PBE) gives the simulated XRD peak list in this record (Cu Kα).
Neutral-atom scattering factors, no anomalous dispersion.

Most intense lines, 5° ≤ 2θ ≤ 70°, sorted by position:
- 2θ = 33.9°, 2.648 Å, rel. 65
- 2θ = 34.0°, 2.638 Å, rel. 100
- 2θ = 35.2°, 2.548 Å, rel. 93
- 2θ = 35.9°, 2.503 Å, rel. 66
- 2θ = 36.2°, 2.483 Å, rel. 54
- 2θ = 37.2°, 2.417 Å, rel. 52
- 2θ = 37.8°, 2.379 Å, rel. 50
- 2θ = 38.6°, 2.332 Å, rel. 45
- 2θ = 39.7°, 2.271 Å, rel. 45
- 2θ = 43.0°, 2.105 Å, rel. 67

Structure:
a b c (Å): 5.7557 6.7844 10.0178
angles (deg): 90.00 123.13 90.00
Positions (direct):
Sc 0.1237 0.0305 0.2516
Sc 0.1237 0.4695 0.7516
Sc 0.1968 0.6962 0.0530
Sc 0.1968 0.8038 0.5530
Sc 0.3752 0.1657 0.0515
Sc 0.3752 0.3343 0.5515
Sc 0.6248 0.6657 0.4485
Sc 0.6248 0.8343 0.9485
Sc 0.8032 0.1962 0.4470
Sc 0.8032 0.3038 0.9470
Sc 0.8763 0.5305 0.2484
Sc 0.8763 0.9695 0.7484
P 0.3099 0.1159 0.7497
P 0.3099 0.3841 0.2497
P 0.6901 0.6159 0.7503
P 0.6901 0.8841 0.2503
N 0.0000 0.0000 0.0000
N 0.0000 0.5000 0.5000


For P3SeN, DFT lattice parameters and positions (GGA-PBE) gives the simulated XRD peak list in this record (Cu Kα).
Neutral-atom scattering factors, no anomalous dispersion.

Most intense lines, 5° ≤ 2θ ≤ 70°, sorted by position:
- 2θ = 21.3°, 4.168 Å, rel. 32
- 2θ = 25.1°, 3.544 Å, rel. 33
- 2θ = 27.3°, 3.271 Å, rel. 100
- 2θ = 27.5°, 3.240 Å, rel. 50
- 2θ = 28.9°, 3.086 Å, rel. 77
- 2θ = 32.5°, 2.753 Å, rel. 75
- 2θ = 37.0°, 2.430 Å, rel. 76
- 2θ = 37.3°, 2.409 Å, rel. 28
- 2θ = 38.6°, 2.335 Å, rel. 36
- 2θ = 44.9°, 2.018 Å, rel. 51

Structure:
a b c (Å): 4.2515 4.2980 5.0083
angles (deg): 82.34 74.12 76.52
Positions (direct):
P 0.0000 0.0000 0.0000
P 0.0161 0.3659 0.2844
P 0.6804 0.5842 0.9305
Se 0.3907 0.0597 0.5771
N 0.2707 0.6260 0.0940


For P3SeN, DFT lattice parameters and positions (GGA-PBE) gives the simulated XRD peak list in this record (Cu Kα).
Neutral-atom scattering factors, no anomalous dispersion.

Most intense lines, 5° ≤ 2θ ≤ 70°, sorted by position:
- 2θ = 14.8°, 5.966 Å, rel. 99
- 2θ = 15.7°, 5.644 Å, rel. 36
- 2θ = 21.5°, 4.132 Å, rel. 66
- 2θ = 30.0°, 2.983 Å, rel. 40
- 2θ = 31.4°, 2.849 Å, rel. 59
- 2θ = 31.5°, 2.838 Å, rel. 100
- 2θ = 42.1°, 2.147 Å, rel. 42
- 2θ = 47.9°, 1.901 Å, rel. 24
- 2θ = 48.3°, 1.883 Å, rel. 23
- 2θ = 49.5°, 1.843 Å, rel. 26

Structure:
a b c (Å): 6.2073 6.2073 5.6450
angles (deg): 90.85 90.85 32.03
Positions (direct):
P 0.0000 0.0000 0.0000
P 0.2868 0.2868 0.5707
P 0.5081 0.5081 0.2692
Se 0.8117 0.8117 0.9025
N 0.3844 0.3844 0.3936


For SiPN3, DFT lattice parameters and positions (GGA-PBE) gives the simulated XRD peak list in this record (Cu Kα).
Neutral-atom scattering factors, no anomalous dispersion.

Most intense lines, 5° ≤ 2θ ≤ 70°, sorted by position:
- 2θ = 19.3°, 4.597 Å, rel. 100
- 2θ = 27.1°, 3.286 Å, rel. 80
- 2θ = 33.7°, 2.659 Å, rel. 15
- 2θ = 33.8°, 2.648 Å, rel. 25
- 2θ = 38.3°, 2.353 Å, rel. 27
- 2θ = 38.9°, 2.315 Å, rel. 11
- 2θ = 39.0°, 2.308 Å, rel. 35
- 2θ = 51.9°, 1.760 Å, rel. 9
- 2θ = 60.4°, 1.533 Å, rel. 11
- 2θ = 69.6°, 1.350 Å, rel. 20

Structure:
a b c (Å): 5.2942 4.7055 5.2990
angles (deg): 90.00 119.72 90.00
Positions (direct):
Si 0.1751 0.0000 0.1755
Si 0.8249 0.5000 0.8245
P 0.1639 0.5076 0.4913
P 0.8361 0.0076 0.5087
N 0.0660 0.1622 0.4128
N 0.0677 0.6466 0.1662
N 0.4823 0.5667 0.7245
N 0.5177 0.0667 0.2755
N 0.9323 0.1466 0.8338
N 0.9340 0.6622 0.5872


For ZnSiP2N6, DFT lattice parameters and positions (GGA-PBE) gives the simulated XRD peak list in this record (Cu Kα).
Neutral-atom scattering factors, no anomalous dispersion.

Most intense lines, 5° ≤ 2θ ≤ 70°, sorted by position:
- 2θ = 16.4°, 5.392 Å, rel. 22
- 2θ = 25.5°, 3.497 Å, rel. 48
- 2θ = 25.7°, 3.466 Å, rel. 100
- 2θ = 39.2°, 2.297 Å, rel. 15
- 2θ = 39.8°, 2.263 Å, rel. 10
- 2θ = 42.8°, 2.113 Å, rel. 13
- 2θ = 48.0°, 1.896 Å, rel. 16
- 2θ = 56.0°, 1.643 Å, rel. 11
- 2θ = 64.1°, 1.453 Å, rel. 12
- 2θ = 66.0°, 1.416 Å, rel. 14

Structure:
a b c (Å): 7.5274 7.5274 7.5274
angles (deg): 138.51 88.50 106.08
Positions (direct):
Zn 0.2500 0.2500 0.0000
Zn 0.7500 0.7500 0.0000
Si 0.2500 0.7500 0.5000
Si 0.7500 0.2500 0.5000
P 0.1703 0.7209 0.8913
P 0.3297 0.2209 0.5506
P 0.6703 0.7791 0.4494
P 0.8297 0.2791 0.1087
N 0.0635 0.4352 0.2061
N 0.2292 0.8574 0.7939
N 0.2343 0.9919 0.2262
N 0.2657 0.4919 0.7576
N 0.2708 0.0648 0.6283
N 0.4365 0.6426 0.3717
N 0.5635 0.3574 0.6283
N 0.7292 0.9352 0.3717
N 0.7343 0.5081 0.2424
N 0.7657 0.0081 0.7738
N 0.7708 0.1426 0.2061
N 0.9365 0.5648 0.7939


For SmP4N7, DFT lattice parameters and positions (GGA-PBE) gives the simulated XRD peak list in this record (Cu Kα).
Neutral-atom scattering factors, no anomalous dispersion.

Most intense lines, 5° ≤ 2θ ≤ 70°, sorted by position:
- 2θ = 17.6°, 5.048 Å, rel. 25
- 2θ = 20.5°, 4.334 Å, rel. 41
- 2θ = 24.6°, 3.624 Å, rel. 36
- 2θ = 25.9°, 3.444 Å, rel. 45
- 2θ = 28.9°, 3.093 Å, rel. 37
- 2θ = 29.5°, 3.032 Å, rel. 100
- 2θ = 30.8°, 2.904 Å, rel. 62
- 2θ = 31.5°, 2.836 Å, rel. 31
- 2θ = 32.6°, 2.747 Å, rel. 24
- 2θ = 40.5°, 2.225 Å, rel. 33

Structure:
a b c (Å): 11.0679 5.6724 4.7102
angles (deg): 90.00 90.00 90.00
Positions (direct):
Sm 0.0000 0.1583 0.0000
Sm 0.5000 0.8417 0.5000
P 0.1270 0.6888 0.4001
P 0.2315 0.2228 0.3948
P 0.2685 0.7772 0.8948
P 0.3730 0.3112 0.9001
P 0.6270 0.3112 0.9001
P 0.7315 0.7772 0.8948
P 0.7685 0.2228 0.3948
P 0.8730 0.6888 0.4001
N 0.0000 0.8120 0.2889
N 0.1202 0.4030 0.3146
N 0.1388 0.7409 0.7365
N 0.2494 0.7875 0.2380
N 0.2506 0.2125 0.7380
N 0.3612 0.2591 0.2365
N 0.3798 0.5970 0.8146
N 0.5000 0.1880 0.7889
N 0.6202 0.5970 0.8146
N 0.6388 0.2591 0.2365
N 0.7494 0.2125 0.7380
N 0.7506 0.7875 0.2380
N 0.8612 0.7409 0.7365
N 0.8798 0.4030 0.3146


For SrSm2P2N6, DFT lattice parameters and positions (GGA-PBE) gives the simulated XRD peak list in this record (Cu Kα).
Neutral-atom scattering factors, no anomalous dispersion.

Most intense lines, 5° ≤ 2θ ≤ 70°, sorted by position:
- 2θ = 17.6°, 5.042 Å, rel. 53
- 2θ = 24.3°, 3.670 Å, rel. 100
- 2θ = 29.0°, 3.076 Å, rel. 86
- 2θ = 29.5°, 3.030 Å, rel. 98
- 2θ = 29.7°, 3.007 Å, rel. 60
- 2θ = 30.2°, 2.956 Å, rel. 90
- 2θ = 31.4°, 2.849 Å, rel. 54
- 2θ = 33.6°, 2.671 Å, rel. 70
- 2θ = 41.3°, 2.187 Å, rel. 41
- 2θ = 45.2°, 2.008 Å, rel. 35

Structure:
a b c (Å): 5.5314 6.0402 6.1376
angles (deg): 119.18 101.26 101.22
Positions (direct):
Sr 0.0000 0.0000 0.0000
Sm 0.2275 0.7346 0.4408
Sm 0.7725 0.2654 0.5592
P 0.3608 0.4594 0.7978
P 0.6392 0.5406 0.2022
N 0.2110 0.6523 0.7727
N 0.2981 0.1777 0.5135
N 0.3082 0.4071 0.0397
N 0.6918 0.5929 0.9603
N 0.7019 0.8223 0.4865
N 0.7890 0.3477 0.2273


For Sm2UPN5, DFT lattice parameters and positions (GGA-PBE) gives the simulated XRD peak list in this record (Cu Kα).
Neutral-atom scattering factors, no anomalous dispersion.

Most intense lines, 5° ≤ 2θ ≤ 70°, sorted by position:
- 2θ = 25.1°, 3.550 Å, rel. 62
- 2θ = 31.2°, 2.862 Å, rel. 63
- 2θ = 32.0°, 2.793 Å, rel. 100
- 2θ = 35.1°, 2.560 Å, rel. 49
- 2θ = 39.8°, 2.262 Å, rel. 22
- 2θ = 44.8°, 2.024 Å, rel. 63
- 2θ = 51.5°, 1.775 Å, rel. 21
- 2θ = 55.6°, 1.652 Å, rel. 27
- 2θ = 56.1°, 1.639 Å, rel. 22
- 2θ = 63.8°, 1.459 Å, rel. 21

Structure:
a b c (Å): 6.3991 6.3991 5.7250
angles (deg): 90.00 90.00 90.00
Positions (direct):
Sm 0.1727 0.3273 0.0000
Sm 0.3273 0.8273 0.0000
Sm 0.6727 0.1727 0.0000
Sm 0.8273 0.6727 0.0000
U 0.0000 0.0000 0.5000
U 0.5000 0.5000 0.5000
P 0.0000 0.5000 0.5000
P 0.5000 0.0000 0.5000
N 0.0000 0.0000 0.0000
N 0.1376 0.6376 0.2920
N 0.1376 0.6376 0.7080
N 0.3624 0.1376 0.2920
N 0.3624 0.1376 0.7080
N 0.5000 0.5000 0.0000
N 0.6376 0.8624 0.2920
N 0.6376 0.8624 0.7080
N 0.8624 0.3624 0.2920
N 0.8624 0.3624 0.7080